Record 1
The following is a calculated powder X-ray diffraction pattern of CaAl2SiAu5. It was derived from a crystal structure in Alexandria, relaxed with PBE, using a wavelength of 1.5418 Å.

Principal peaks in the range 10 to 90 degrees two-theta, in order of falling intensity:
- 27.3 deg, I = 100.0
- 36.4 deg, I = 52.5
- 38.0 deg, I = 30.2
- 40.5 deg, I = 29.1
- 41.2 deg, I = 29.0
- 40.0 deg, I = 22.1
- 56.8 deg, I = 21.8
- 33.1 deg, I = 19.3
- 60.5 deg, I = 18.7
- 56.3 deg, I = 16.3

Atomic structure:
Lattice parameters (Å, degrees): 7.756 7.756 7.756 144.46 135.20 58.45
Fractional positions:
Ca 0.000 0.000 0.000
Al 0.309 0.809 0.500
Al 0.691 0.191 0.500
Si 0.500 0.500 0.000
Au 0.091 0.345 0.746
Au 0.401 0.655 0.746
Au 0.500 0.000 0.500
Au 0.599 0.345 0.254
Au 0.909 0.655 0.254

---

Record 2
The following is a calculated powder X-ray diffraction pattern of TlSb2Pb4. It was derived from a crystal structure in Alexandria, relaxed with PBE, using a wavelength of 1.5418 Å.

Principal peaks in the range 10 to 90 degrees two-theta, in order of falling intensity:
- 32.1 deg, I = 100.0
- 32.5 deg, I = 61.6
- 26.2 deg, I = 24.7
- 34.2 deg, I = 20.8
- 41.4 deg, I = 20.6
- 53.4 deg, I = 19.4
- 57.7 deg, I = 16.6
- 34.6 deg, I = 15.6
- 26.0 deg, I = 12.0
- 58.7 deg, I = 11.9

Atomic structure:
Lattice parameters (Å, degrees): 5.923 5.923 10.848 116.54 116.54 43.17
Fractional positions:
Tl 0.000 0.000 0.000
Sb 0.269 0.269 0.723
Sb 0.731 0.731 0.277
Pb 0.089 0.089 0.391
Pb 0.358 0.358 0.146
Pb 0.642 0.642 0.854
Pb 0.911 0.911 0.609

---

Record 3
The following is a calculated powder X-ray diffraction pattern of Hf6SnH2. It was derived from a crystal structure in Alexandria, relaxed with PBE, using a wavelength of 1.5418 Å.

Principal peaks in the range 10 to 90 degrees two-theta, in order of falling intensity:
- 35.7 deg, I = 100.0
- 37.4 deg, I = 94.3
- 36.5 deg, I = 46.9
- 40.8 deg, I = 38.2
- 55.9 deg, I = 27.8
- 21.8 deg, I = 23.9
- 26.2 deg, I = 21.8
- 49.4 deg, I = 20.0
- 40.5 deg, I = 18.2
- 65.9 deg, I = 16.9

Atomic structure:
Lattice parameters (Å, degrees): 5.977 5.977 7.743 106.34 106.34 43.44
Fractional positions:
Hf 0.101 0.101 0.181
Hf 0.215 0.215 0.851
Hf 0.339 0.339 0.521
Hf 0.661 0.661 0.479
Hf 0.785 0.785 0.149
Hf 0.899 0.899 0.819
Sn 0.000 0.000 0.500
H 0.269 0.269 0.129
H 0.731 0.731 0.871

---

Record 4
The following is a calculated powder X-ray diffraction pattern of Pm3Dy2Sc. It was derived from a crystal structure in Alexandria, relaxed with PBE, using a wavelength of 1.5418 Å.

Principal peaks in the range 10 to 90 degrees two-theta, in order of falling intensity:
- 32.0 deg, I = 100.0
- 33.6 deg, I = 55.3
- 31.2 deg, I = 52.1
- 29.6 deg, I = 26.8
- 51.1 deg, I = 25.5
- 34.0 deg, I = 25.2
- 60.9 deg, I = 23.0
- 61.3 deg, I = 17.2
- 55.1 deg, I = 15.7
- 29.0 deg, I = 15.5

Atomic structure:
Lattice parameters (Å, degrees): 7.139 7.150 8.850 78.03 77.99 60.41
Fractional positions:
Pm 0.137 0.137 0.173
Pm 0.139 0.639 0.165
Pm 0.251 0.250 0.501
Pm 0.749 0.750 0.499
Pm 0.861 0.361 0.835
Pm 0.863 0.863 0.827
Dy 0.363 0.862 0.833
Dy 0.366 0.365 0.825
Dy 0.634 0.635 0.175
Dy 0.637 0.138 0.167
Sc 0.252 0.749 0.501
Sc 0.748 0.251 0.499

---

Record 5
The following is a calculated powder X-ray diffraction pattern of Tb3Dy5In4. It was derived from a crystal structure in Alexandria, relaxed with PBE, using a wavelength of 1.5418 Å.

Principal peaks in the range 10 to 90 degrees two-theta, in order of falling intensity:
- 30.6 deg, I = 100.0
- 30.9 deg, I = 90.5
- 34.7 deg, I = 80.5
- 33.4 deg, I = 63.2
- 29.0 deg, I = 46.5
- 48.9 deg, I = 43.3
- 28.5 deg, I = 40.8
- 32.3 deg, I = 37.6
- 38.8 deg, I = 24.7
- 53.0 deg, I = 19.8

Atomic structure:
Lattice parameters (Å, degrees): 9.224 9.224 8.339 111.01 111.01 32.57
Fractional positions:
Tb 0.000 0.000 0.000
Tb 0.094 0.094 0.447
Tb 0.906 0.906 0.553
Dy 0.167 0.167 0.916
Dy 0.316 0.316 0.735
Dy 0.500 0.500 0.000
Dy 0.684 0.684 0.265
Dy 0.833 0.833 0.084
In 0.291 0.291 0.322
In 0.459 0.459 0.313
In 0.541 0.541 0.687
In 0.709 0.709 0.678

---

Record 6
The following is a calculated powder X-ray diffraction pattern of Er4Co2H. It was derived from a crystal structure in Alexandria, relaxed with PBE, using a wavelength of 1.5418 Å.

Principal peaks in the range 10 to 90 degrees two-theta, in order of falling intensity:
- 33.6 deg, I = 100.0
- 30.4 deg, I = 76.5
- 33.7 deg, I = 57.4
- 31.3 deg, I = 51.0
- 32.4 deg, I = 40.1
- 42.3 deg, I = 34.6
- 32.8 deg, I = 34.3
- 49.0 deg, I = 31.7
- 41.5 deg, I = 27.4
- 59.0 deg, I = 27.2

Atomic structure:
Lattice parameters (Å, degrees): 7.062 7.062 5.614 100.09 100.09 30.50
Fractional positions:
Er 0.081 0.081 0.280
Er 0.343 0.343 0.174
Er 0.657 0.657 0.826
Er 0.919 0.919 0.720
Co 0.266 0.266 0.625
Co 0.734 0.734 0.375
H 0.500 0.500 0.000

---

Record 7
The following is a calculated powder X-ray diffraction pattern of Os2RhO6. It was derived from a crystal structure in Alexandria, relaxed with PBE, using a wavelength of 1.5418 Å.

Principal peaks in the range 10 to 90 degrees two-theta, in order of falling intensity:
- 28.8 deg, I = 100.0
- 35.6 deg, I = 49.1
- 55.4 deg, I = 40.8
- 46.4 deg, I = 26.3
- 59.8 deg, I = 23.8
- 63.9 deg, I = 14.0
- 31.2 deg, I = 11.2
- 89.6 deg, I = 9.6
- 41.0 deg, I = 9.2
- 67.3 deg, I = 9.2

Atomic structure:
Lattice parameters (Å, degrees): 8.740 8.740 4.401 90.00 90.00 120.00
Fractional positions:
Os 0.000 0.347 0.000
Os 0.000 0.681 0.500
Os 0.319 0.319 0.500
Os 0.347 0.000 0.000
Os 0.653 0.653 0.000
Os 0.681 0.000 0.500
Rh 0.000 0.000 0.000
Rh 0.333 0.667 0.496
Rh 0.667 0.333 0.504
O 0.105 0.566 0.248
O 0.110 0.229 0.240
O 0.119 0.890 0.240
O 0.208 0.435 0.740
O 0.227 0.792 0.740
O 0.229 0.110 0.760
O 0.434 0.539 0.248
O 0.435 0.208 0.260
O 0.461 0.895 0.248
O 0.539 0.434 0.752
O 0.565 0.773 0.740
O 0.566 0.105 0.752
O 0.771 0.881 0.240
O 0.773 0.565 0.260
O 0.792 0.227 0.260
O 0.881 0.771 0.760
O 0.890 0.119 0.760
O 0.895 0.461 0.752

---

Record 8
The following is a calculated powder X-ray diffraction pattern of TiAsBr2O. It was derived from a crystal structure in Alexandria, relaxed with PBE, using a wavelength of 1.5418 Å.

Principal peaks in the range 10 to 90 degrees two-theta, in order of falling intensity:
- 31.1 deg, I = 100.0
- 36.7 deg, I = 66.8
- 18.1 deg, I = 50.9
- 51.5 deg, I = 48.0
- 34.9 deg, I = 38.3
- 17.3 deg, I = 34.0
- 62.6 deg, I = 25.7
- 64.9 deg, I = 23.3
- 52.8 deg, I = 22.2
- 40.8 deg, I = 14.5

Atomic structure:
Lattice parameters (Å, degrees): 4.904 4.904 5.139 90.00 90.00 90.00
Fractional positions:
Ti 0.000 0.000 0.000
As 0.000 0.000 0.500
Br 0.000 0.500 0.000
Br 0.500 0.000 0.000
O 0.500 0.500 0.500

---

Record 9
The following is a calculated powder X-ray diffraction pattern of Tc4Mo5. It was derived from a crystal structure in Alexandria, relaxed with PBE, using a wavelength of 1.5418 Å.

Principal peaks in the range 10 to 90 degrees two-theta, in order of falling intensity:
- 40.8 deg, I = 100.0
- 74.2 deg, I = 32.8
- 59.0 deg, I = 16.3
- 88.3 deg, I = 10.8

Atomic structure:
Lattice parameters (Å, degrees): 6.824 6.824 6.824 93.02 93.02 153.47
Fractional positions:
Tc 0.000 0.332 0.332
Tc 0.000 0.668 0.668
Tc 0.332 0.000 0.332
Tc 0.668 0.000 0.668
Mo 0.000 0.000 0.000
Mo 0.332 0.332 0.664
Mo 0.332 0.668 0.000
Mo 0.668 0.332 0.000
Mo 0.668 0.668 0.336

---

Record 10
The following is a calculated powder X-ray diffraction pattern of CsNaGaSe2. It was derived from a crystal structure in Alexandria, relaxed with PBE, using a wavelength of 1.5418 Å.

Principal peaks in the range 10 to 90 degrees two-theta, in order of falling intensity:
- 25.9 deg, I = 100.0
- 27.5 deg, I = 36.8
- 35.1 deg, I = 30.1
- 47.7 deg, I = 28.2
- 28.9 deg, I = 25.1
- 46.2 deg, I = 19.5
- 38.5 deg, I = 14.7
- 26.3 deg, I = 12.9
- 44.5 deg, I = 12.5
- 40.3 deg, I = 11.8

Atomic structure:
Lattice parameters (Å, degrees): 8.295 8.295 6.768 90.00 90.00 134.01
Fractional positions:
Cs 0.250 0.750 0.765
Cs 0.750 0.250 0.235
Na 0.250 0.250 0.500
Na 0.750 0.750 0.500
Ga 0.000 0.000 0.000
Ga 0.500 0.500 0.000
Se 0.117 0.883 0.251
Se 0.383 0.617 0.251
Se 0.617 0.383 0.749
Se 0.883 0.117 0.749

---

Record 11
The following is a calculated powder X-ray diffraction pattern of LiMg4In15. It was derived from a crystal structure in Alexandria, relaxed with PBE, using a wavelength of 1.5418 Å.

Principal peaks in the range 10 to 90 degrees two-theta, in order of falling intensity:
- 33.5 deg, I = 100.0
- 39.4 deg, I = 32.2
- 67.7 deg, I = 24.6
- 55.9 deg, I = 21.8
- 38.0 deg, I = 17.3
- 19.4 deg, I = 12.8
- 65.8 deg, I = 12.6
- 27.1 deg, I = 11.4
- 70.5 deg, I = 10.6
- 56.9 deg, I = 10.6

Atomic structure:
Lattice parameters (Å, degrees): 4.578 4.578 23.675 90.00 90.00 90.00
Fractional positions:
Li 0.000 0.000 0.000
Mg 0.000 0.000 0.195
Mg 0.000 0.000 0.399
Mg 0.000 0.000 0.601
Mg 0.000 0.000 0.805
In 0.000 0.500 0.096
In 0.000 0.500 0.298
In 0.000 0.500 0.500
In 0.000 0.500 0.702
In 0.000 0.500 0.904
In 0.500 0.000 0.096
In 0.500 0.000 0.298
In 0.500 0.000 0.500
In 0.500 0.000 0.702
In 0.500 0.000 0.904
In 0.500 0.500 0.000
In 0.500 0.500 0.197
In 0.500 0.500 0.399
In 0.500 0.500 0.601
In 0.500 0.500 0.803

---

Record 12
The following is a calculated powder X-ray diffraction pattern of CaSmHg4. It was derived from a crystal structure in Alexandria, relaxed with PBE, using a wavelength of 1.5418 Å.

Principal peaks in the range 10 to 90 degrees two-theta, in order of falling intensity:
- 35.4 deg, I = 100.0
- 31.4 deg, I = 35.0
- 32.2 deg, I = 32.2
- 45.6 deg, I = 25.4
- 58.6 deg, I = 23.8
- 59.5 deg, I = 22.7
- 24.1 deg, I = 11.8
- 75.0 deg, I = 11.5
- 77.6 deg, I = 10.9
- 18.0 deg, I = 9.2

Atomic structure:
Lattice parameters (Å, degrees): 5.568 5.687 5.687 119.89 90.00 90.00
Fractional positions:
Ca 0.000 0.000 0.000
Sm 0.500 0.501 0.501
Hg 0.000 0.331 0.668
Hg 0.000 0.668 0.331
Hg 0.500 0.170 0.833
Hg 0.500 0.833 0.170